Record 1
The following is a computed X-ray diffraction stick pattern of Rb2WO4. It was derived from a DFT-relaxed cell (PBE+U, the Materials Project), using Cu Kα (λ = 1.5418 Å).

Crystal structure
a = 7.312 Å, b = 7.312 Å, c = 8.065 Å
α = 113.20°, β = 113.20°, γ = 52.55°
Sites, in units of the cell vectors:
Rb (0.012, 0.012, 0.237)
Rb (0.344, 0.344, 0.253)
Rb (0.656, 0.656, 0.747)
Rb (0.988, 0.988, 0.763)
W (0.324, 0.324, 0.774)
W (0.676, 0.676, 0.226)
O (0.129, 0.585, 0.917)
O (0.173, 0.173, 0.626)
O (0.406, 0.406, 0.644)
O (0.415, 0.871, 0.083)
O (0.585, 0.129, 0.917)
O (0.594, 0.594, 0.356)
O (0.827, 0.827, 0.374)
O (0.871, 0.415, 0.083)

Principal peaks in the range 10 to 90 degrees two-theta, in order of rising 2θ:
| Position (°2θ) | I (rel.) |
| --- | --- |
| 17.70 | 25 |
| 24.58 | 58 |
| 26.55 | 100 |
| 27.55 | 50 |
| 28.67 | 70 |
| 37.25 | 50 |
| 43.07 | 31 |
| 47.24 | 17 |
| 48.11 | 18 |
| 49.42 | 16 |

Record 2
The following is a computed X-ray diffraction stick pattern of RbW6O18. It was derived from a DFT-relaxed cell (PBE+U, the Materials Project), using Cu Kα (λ = 1.5418 Å).

Crystal structure
a = 8.457 Å, b = 8.457 Å, c = 8.457 Å
α = 127.22°, β = 125.61°, γ = 79.21°
Sites, in units of the cell vectors:
Rb (0.000, 0.000, 0.000)
W (0.000, 0.000, 0.500)
W (0.000, 0.500, 0.000)
W (0.251, 0.500, 0.751)
W (0.500, 0.000, 0.000)
W (0.500, 0.500, 0.500)
W (0.749, 0.500, 0.249)
O (0.000, 0.500, 0.500)
O (0.035, 0.788, 0.248)
O (0.142, 0.212, 0.566)
O (0.142, 0.576, 0.930)
O (0.250, 0.000, 0.750)
O (0.250, 0.500, 0.250)
O (0.354, 0.424, 0.566)
O (0.354, 0.788, 0.930)
O (0.460, 0.212, 0.248)
O (0.500, 0.500, 0.000)
O (0.540, 0.788, 0.752)
O (0.646, 0.212, 0.070)
O (0.646, 0.576, 0.434)
O (0.750, 0.000, 0.250)
O (0.750, 0.500, 0.750)
O (0.858, 0.424, 0.070)
O (0.858, 0.788, 0.434)
O (0.965, 0.212, 0.752)

Principal peaks in the range 10 to 90 degrees two-theta, in order of rising 2θ:
| Position (°2θ) | I (rel.) |
| --- | --- |
| 13.60 | 42 |
| 23.01 | 44 |
| 26.82 | 29 |
| 27.39 | 100 |
| 33.24 | 16 |
| 36.06 | 46 |
| 48.41 | 25 |
| 54.25 | 20 |
| 55.27 | 29 |
| 69.79 | 17 |

Record 3
The following is a computed X-ray diffraction stick pattern of RbYW2O8. It was derived from a DFT-relaxed cell (PBE+U, the Materials Project), using Cu Kα (λ = 1.5418 Å).

Crystal structure
a = 7.637 Å, b = 7.637 Å, c = 7.507 Å
α = 117.45°, β = 117.45°, γ = 88.67°
Sites, in units of the cell vectors:
Rb (0.200, 0.800, 0.750)
Rb (0.800, 0.200, 0.250)
Y (0.224, 0.776, 0.250)
Y (0.776, 0.224, 0.750)
W (0.301, 0.311, 0.281)
W (0.311, 0.301, 0.781)
W (0.689, 0.699, 0.219)
W (0.699, 0.689, 0.719)
O (0.046, 0.216, 0.692)
O (0.061, 0.375, 0.125)
O (0.216, 0.046, 0.192)
O (0.246, 0.379, 0.560)
O (0.370, 0.591, 0.034)
O (0.375, 0.061, 0.625)
O (0.379, 0.246, 0.060)
O (0.409, 0.630, 0.466)
O (0.591, 0.370, 0.534)
O (0.621, 0.754, 0.940)
O (0.625, 0.939, 0.375)
O (0.630, 0.409, 0.966)
O (0.754, 0.621, 0.440)
O (0.784, 0.954, 0.808)
O (0.939, 0.625, 0.875)
O (0.954, 0.784, 0.308)

Principal peaks in the range 10 to 90 degrees two-theta, in order of rising 2θ:
| Position (°2θ) | I (rel.) |
| --- | --- |
| 13.46 | 24 |
| 16.61 | 45 |
| 27.11 | 93 |
| 27.24 | 27 |
| 27.91 | 30 |
| 29.11 | 100 |
| 31.16 | 41 |
| 33.25 | 32 |
| 46.47 | 23 |
| 55.35 | 21 |

Record 4
The following is a computed X-ray diffraction stick pattern of VReO4. It was derived from a DFT-relaxed cell (PBE+U, the Materials Project), using Cu Kα (λ = 1.5418 Å).

Crystal structure
a = 4.812 Å, b = 4.812 Å, c = 5.690 Å
α = 90.00°, β = 90.00°, γ = 91.88°
Sites, in units of the cell vectors:
V (0.000, 0.000, 0.000)
V (0.000, 0.000, 0.500)
Re (0.500, 0.500, 0.224)
Re (0.500, 0.500, 0.776)
O (0.213, 0.213, 0.247)
O (0.213, 0.213, 0.753)
O (0.280, 0.720, 0.000)
O (0.309, 0.691, 0.500)
O (0.691, 0.309, 0.500)
O (0.720, 0.280, 0.000)
O (0.787, 0.787, 0.247)
O (0.787, 0.787, 0.753)

Principal peaks in the range 10 to 90 degrees two-theta, in order of rising 2θ:
| Position (°2θ) | I (rel.) |
| --- | --- |
| 18.45 | 100 |
| 25.76 | 76 |
| 26.64 | 68 |
| 36.70 | 89 |
| 37.39 | 31 |
| 41.08 | 25 |
| 42.58 | 18 |
| 52.92 | 54 |
| 53.88 | 37 |
| 67.00 | 23 |